1.
Starting from a crystal structure in Alexandria, relaxed with GGA-PBE, the powder X-ray diffraction pattern of La3Dy7Y was calculated for Cu Kα (weighted mean of Kα1 and Kα2).

Structural model:
```
data_La3Dy7Y
_symmetry_space_group_name_H-M 'P 1 2/m 1'
_symmetry_Int_Tables_number 10
_symmetry_space_group_name_Hall '-P 2y'
_cell_length_a 7.021
_cell_length_b 5.565
_cell_length_c 10.095
_cell_angle_alpha 90.00
_cell_angle_beta 109.25
_cell_angle_gamma 90.00
loop_
_atom_site_label
_atom_site_type_symbol
_atom_site_fract_x
_atom_site_fract_y
_atom_site_fract_z
La1 La 0.000 0.000 0.000
La2 La 0.282 0.500 0.496
Dy1 Dy 0.000 0.000 0.500
Dy2 Dy 0.147 0.500 0.790
Dy3 Dy 0.324 0.500 0.135
Dy4 Dy 0.424 0.000 0.329
Y1 Y 0.500 0.000 0.000
```

Most intense lines, 2θ = 10–90°, by intensity:
Position (°2θ)	intensity	(hkl)
31.39	100	2 1 0
32.17	56	0 2 0
32.45	54	0 1 3
31.71	49	2 1 -2
30.97	33	1 1 2
62.55	20	4 2 -2
56.88	19	2 3 0
25.37	16	2 0 -1

---

2.
Starting from a crystal structure in Alexandria, relaxed with GGA-PBE, the powder X-ray diffraction pattern of La4DyY15 was calculated for Cu Kα (weighted mean of Kα1 and Kα2).

Structural model:
```
data_La4DyY15
_symmetry_space_group_name_H-M 'P 4/m m m'
_symmetry_Int_Tables_number 123
_symmetry_space_group_name_Hall '-P 4 2'
_cell_length_a 5.115
_cell_length_b 5.115
_cell_length_c 25.415
_cell_angle_alpha 90.00
_cell_angle_beta 90.00
_cell_angle_gamma 90.00
loop_
_atom_site_label
_atom_site_type_symbol
_atom_site_fract_x
_atom_site_fract_y
_atom_site_fract_z
La1 La 0.000 0.000 0.101
La2 La 0.000 0.000 0.301
Dy1 Dy 0.000 0.000 0.500
Y1 Y 0.000 0.500 0.000
Y2 Y 0.000 0.500 0.201
Y3 Y 0.000 0.500 0.403
Y4 Y 0.500 0.500 0.101
Y5 Y 0.500 0.500 0.302
Y6 Y 0.500 0.500 0.500
```

Most intense lines, 2θ = 10–90°, by intensity:
Position (°2θ)	intensity	(hkl)
30.33	100	1 1 5
35.09	34	2 0 0
60.03	28	3 1 5
50.64	23	2 0 10
35.32	16	0 0 10
60.33	13	1 1 15
50.47	12	2 2 0
63.10	12	2 2 10

---

3.
Starting from a crystal structure in Alexandria, relaxed with GGA-PBE, the powder X-ray diffraction pattern of La12Dy5Y2 was calculated for Cu Kα (weighted mean of Kα1 and Kα2).

Structural model:
```
data_La12Dy5Y2
_symmetry_space_group_name_H-M 'C 1 2/m 1'
_symmetry_Int_Tables_number 12
_symmetry_space_group_name_Hall '-C 2y'
_cell_length_a 13.261
_cell_length_b 11.732
_cell_length_c 9.577
_cell_angle_alpha 90.00
_cell_angle_beta 116.63
_cell_angle_gamma 90.00
loop_
_atom_site_label
_atom_site_type_symbol
_atom_site_fract_x
_atom_site_fract_y
_atom_site_fract_z
La1 La 0.073 0.000 0.285
La2 La 0.108 0.217 0.921
La3 La 0.118 0.500 0.446
La4 La 0.193 0.258 0.305
Dy1 Dy 0.000 0.500 0.000
Dy2 Dy 0.190 0.000 0.732
Dy3 Dy 0.192 0.500 0.837
Y1 Y 0.000 0.226 0.500
```

Most intense lines, 2θ = 10–90°, by intensity:
Position (°2θ)	intensity	(hkl)
31.14	100	4 2 -1
31.93	51	2 2 -3
30.48	51	0 4 0
30.76	33	2 0 2
30.26	26	3 1 -3
34.11	24	1 3 2
43.85	20	2 4 2
26.23	19	1 1 2

---

4.
Starting from a crystal structure in Alexandria, relaxed with GGA-PBE, the powder X-ray diffraction pattern of La3DyY was calculated for Cu Kα (weighted mean of Kα1 and Kα2).

Structural model:
```
data_La3DyY
_symmetry_space_group_name_H-M 'C 1 2/c 1'
_symmetry_Int_Tables_number 15
_symmetry_space_group_name_Hall '-C 2yc'
_cell_length_a 15.657
_cell_length_b 13.636
_cell_length_c 6.732
_cell_angle_alpha 90.00
_cell_angle_beta 104.89
_cell_angle_gamma 90.00
loop_
_atom_site_label
_atom_site_type_symbol
_atom_site_fract_x
_atom_site_fract_y
_atom_site_fract_z
La1 La 0.095 0.186 0.432
La2 La 0.197 0.436 0.649
La3 La 0.198 0.313 0.150
Dy1 Dy 0.000 0.310 0.750
Dy2 Dy 0.000 0.435 0.250
Y1 Y 0.100 0.069 0.937
```

Most intense lines, 2θ = 10–90°, by intensity:
Position (°2θ)	intensity	(hkl)
30.54	100	2 4 -1
30.26	81	5 1 0
31.32	47	4 0 -2
31.89	37	3 3 1
45.31	28	7 3 -1
60.82	27	8 4 1
55.26	18	6 4 -3
35.64	17	5 3 0

---

5.
Starting from a crystal structure in Alexandria, relaxed with GGA-PBE, the powder X-ray diffraction pattern of La5Dy4Y2 was calculated for Cu Kα (weighted mean of Kα1 and Kα2).

Structural model:
```
data_La5Dy4Y2
_symmetry_space_group_name_H-M 'I m m m'
_symmetry_Int_Tables_number 71
_symmetry_space_group_name_Hall '-I 2 2'
_cell_length_a 3.549
_cell_length_b 9.232
_cell_length_c 23.983
_cell_angle_alpha 90.00
_cell_angle_beta 90.00
_cell_angle_gamma 90.00
loop_
_atom_site_label
_atom_site_type_symbol
_atom_site_fract_x
_atom_site_fract_y
_atom_site_fract_z
La1 La 0.000 0.000 0.000
La2 La 0.000 0.302 0.354
Dy1 Dy 0.000 0.184 0.500
Dy2 Dy 0.000 0.500 0.096
Y1 Y 0.000 0.500 0.230
```

Most intense lines, 2θ = 10–90°, by intensity:
Position (°2θ)	intensity	(hkl)
32.03	100	1 2 1
31.14	66	0 3 3
29.56	48	0 2 6
36.45	44	1 0 7
30.84	34	1 1 4
35.19	30	1 1 6
29.80	29	0 0 8
34.63	25	0 3 5

---

6.
Starting from a crystal structure in Alexandria, relaxed with GGA-PBE, the powder X-ray diffraction pattern of La8DyY5 was calculated for Cu Kα (weighted mean of Kα1 and Kα2).

Structural model:
```
data_La8DyY5
_symmetry_space_group_name_H-M 'I -4'
_symmetry_Int_Tables_number 82
_symmetry_space_group_name_Hall 'I -4'
_cell_length_a 9.855
_cell_length_b 9.855
_cell_length_c 10.403
_cell_angle_alpha 90.00
_cell_angle_beta 90.00
_cell_angle_gamma 90.00
loop_
_atom_site_label
_atom_site_type_symbol
_atom_site_fract_x
_atom_site_fract_y
_atom_site_fract_z
La1 La 0.066 0.333 0.091
La2 La 0.093 0.183 0.752
Dy1 Dy 0.000 0.500 0.750
Y1 Y 0.000 0.000 0.000
Y2 Y 0.107 0.200 0.425
```

Most intense lines, 2θ = 10–90°, by intensity:
Position (°2θ)	intensity	(hkl)
32.86	100	1 2 3
27.26	92	1 0 3
28.65	89	3 1 0
28.49	81	3 0 1
33.52	73	3 1 2
33.91	68	2 3 1
21.90	33	2 1 1
30.89	30	2 2 2

---

7.
Starting from a crystal structure in Alexandria, relaxed with GGA-PBE, the powder X-ray diffraction pattern of La4Dy4Y was calculated for Cu Kα (weighted mean of Kα1 and Kα2).

Structural model:
```
data_La4Dy4Y
_symmetry_space_group_name_H-M 'I 4/m m m'
_symmetry_Int_Tables_number 139
_symmetry_space_group_name_Hall '-I 4 2'
_cell_length_a 10.875
_cell_length_b 10.875
_cell_length_c 5.167
_cell_angle_alpha 90.00
_cell_angle_beta 90.00
_cell_angle_gamma 90.00
loop_
_atom_site_label
_atom_site_type_symbol
_atom_site_fract_x
_atom_site_fract_y
_atom_site_fract_z
La1 La 0.168 0.168 0.000
Dy1 Dy 0.000 0.336 0.500
Y1 Y 0.000 0.000 0.500
```

Most intense lines, 2θ = 10–90°, by intensity:
Position (°2θ)	intensity	(hkl)
30.12	100	3 0 1
35.01	33	3 3 0
59.79	28	6 3 1
50.14	24	3 3 2
34.73	17	0 0 2
59.42	15	3 0 3
62.61	12	6 0 2
50.35	12	6 0 0

---

8.
Starting from a crystal structure in Alexandria, relaxed with GGA-PBE, the powder X-ray diffraction pattern of La8Dy2Y3 was calculated for Cu Kα (weighted mean of Kα1 and Kα2).

Structural model:
```
data_La8Dy2Y3
_symmetry_space_group_name_H-M 'C 1 2/m 1'
_symmetry_Int_Tables_number 12
_symmetry_space_group_name_Hall '-C 2y'
_cell_length_a 20.642
_cell_length_b 7.757
_cell_length_c 5.851
_cell_angle_alpha 90.00
_cell_angle_beta 90.02
_cell_angle_gamma 90.00
loop_
_atom_site_label
_atom_site_type_symbol
_atom_site_fract_x
_atom_site_fract_y
_atom_site_fract_z
La1 La 0.106 0.200 0.000
La2 La 0.132 0.500 0.500
La3 La 0.175 0.000 0.501
Dy1 Dy 0.240 0.500 0.999
Y1 Y 0.000 0.218 0.500
Y2 Y 0.000 0.500 0.000
```

Most intense lines, 2θ = 10–90°, by intensity:
Position (°2θ)	intensity	(hkl)
32.69	100	4 2 -1
30.56	49	0 0 2
28.86	46	5 1 1
30.13	42	6 0 -1
24.52	29	2 2 0
55.68	22	4 2 -3
39.56	16	2 2 -2
46.88	13	0 4 0

---

9.
Starting from a crystal structure in Alexandria, relaxed with GGA-PBE, the powder X-ray diffraction pattern of La3Dy12Y was calculated for Cu Kα (weighted mean of Kα1 and Kα2).

Structural model:
```
data_La3Dy12Y
_symmetry_space_group_name_H-M 'P 4/m m m'
_symmetry_Int_Tables_number 123
_symmetry_space_group_name_Hall '-P 4 2'
_cell_length_a 5.071
_cell_length_b 5.071
_cell_length_c 20.285
_cell_angle_alpha 90.00
_cell_angle_beta 90.00
_cell_angle_gamma 90.00
loop_
_atom_site_label
_atom_site_type_symbol
_atom_site_fract_x
_atom_site_fract_y
_atom_site_fract_z
La1 La 0.000 0.000 0.000
La2 La 0.000 0.000 0.250
Dy1 Dy 0.000 0.500 0.126
Dy2 Dy 0.000 0.500 0.377
Dy3 Dy 0.500 0.500 0.000
Dy4 Dy 0.500 0.500 0.252
Dy5 Dy 0.500 0.500 0.500
Y1 Y 0.000 0.000 0.500
```

Most intense lines, 2θ = 10–90°, by intensity:
Position (°2θ)	intensity	(hkl)
30.54	100	1 1 4
35.40	51	2 0 0
60.56	43	3 1 4
50.94	36	2 2 0
83.01	18	3 3 4
85.67	16	4 2 0
63.56	12	2 2 8
74.91	6	4 0 0

---

10.
Starting from a crystal structure in Alexandria, relaxed with GGA-PBE, the powder X-ray diffraction pattern of La5DyY4 was calculated for Cu Kα (weighted mean of Kα1 and Kα2).

Structural model:
```
data_La5DyY4
_symmetry_space_group_name_H-M 'P 4/m m m'
_symmetry_Int_Tables_number 123
_symmetry_space_group_name_Hall '-P 4 2'
_cell_length_a 3.705
_cell_length_b 3.705
_cell_length_c 25.229
_cell_angle_alpha 90.00
_cell_angle_beta 90.00
_cell_angle_gamma 90.00
loop_
_atom_site_label
_atom_site_type_symbol
_atom_site_fract_x
_atom_site_fract_y
_atom_site_fract_z
La1 La 0.000 0.000 0.000
La2 La 0.000 0.000 0.200
La3 La 0.000 0.000 0.401
Dy1 Dy 0.500 0.500 0.500
Y1 Y 0.500 0.500 0.100
Y2 Y 0.500 0.500 0.301
```

Most intense lines, 2θ = 10–90°, by intensity:
Position (°2θ)	intensity	(hkl)
29.92	100	1 0 5
34.23	35	1 1 0
58.65	29	2 1 5
50.20	23	1 1 10
35.58	16	0 0 10
60.45	13	1 0 15
49.19	12	2 0 0
62.17	12	2 0 10

---

11.
Starting from a crystal structure in Alexandria, relaxed with GGA-PBE, the powder X-ray diffraction pattern of La9Dy3Y2 was calculated for Cu Kα (weighted mean of Kα1 and Kα2).

Structural model:
```
data_La9Dy3Y2
_symmetry_space_group_name_H-M 'P 63/m'
_symmetry_Int_Tables_number 176
_symmetry_space_group_name_Hall '-P 6c'
_cell_length_a 10.8931
_cell_length_b 10.8931
_cell_length_c 9.9250
_cell_angle_alpha 90.00
_cell_angle_beta 90.00
_cell_angle_gamma 120.00
loop_
_atom_site_label
_atom_site_type_symbol
_atom_site_fract_x
_atom_site_fract_y
_atom_site_fract_z
La1 La 0.0015 0.6684 0.0667
La2 La 0.1072 0.5002 0.2500
Dy1 Dy 0.0062 0.8296 0.7500
Y1 Y 0.3333 0.6667 0.5725
```

Most intense lines, 2θ = 10–90°, by intensity:
Position (°2θ)	intensity	(hkl)
31.64	100	1 1 3
33.74	83	3 0 2
34.14	73	2 2 1
57.46	42	2 2 5
26.56	38	1 2 1
28.38	36	3 0 0
52.34	28	1 4 3
24.97	23	2 1 0

---

12.
Starting from a crystal structure in Alexandria, relaxed with GGA-PBE, the powder X-ray diffraction pattern of La3DyY8 was calculated for Cu Kα (weighted mean of Kα1 and Kα2).

Structural model:
```
data_La3DyY8
_symmetry_space_group_name_H-M 'I -4 2 m'
_symmetry_Int_Tables_number 121
_symmetry_space_group_name_Hall 'I -4 2'
_cell_length_a 8.862
_cell_length_b 8.862
_cell_length_c 11.412
_cell_angle_alpha 90.00
_cell_angle_beta 90.00
_cell_angle_gamma 90.00
loop_
_atom_site_label
_atom_site_type_symbol
_atom_site_fract_x
_atom_site_fract_y
_atom_site_fract_z
La1 La 0.000 0.000 0.000
La2 La 0.000 0.500 0.250
Dy1 Dy 0.000 0.000 0.500
Y1 Y 0.124 0.124 0.745
Y2 Y 0.243 0.243 0.487
```

Most intense lines, 2θ = 10–90°, by intensity:
Position (°2θ)	intensity	(hkl)
35.69	100	3 1 2
28.49	70	2 2 0
31.36	51	0 0 4
21.06	51	1 1 2
42.87	44	2 2 4
23.77	33	2 1 1
43.84	33	4 0 2
32.62	32	2 2 2